Computed XRD peak list
Compound: Eu2O3
Radiation: Cu Ka
Structure: the GGA-PBE geometry in the Materials Project
Lines closer than 0.1° are merged.

Principal peaks in the range 10° ≤ 2θ ≤ 90°, by intensity:
2θ/deg, intensity
28.17, 100
46.83, 40
32.64, 35
55.55, 33
75.53, 9
19.82, 9
41.98, 8
77.85, 7
58.25, 7
86.99, 6

Lattice parameters (Å, degrees): 9.504 9.504 9.504 109.47 109.47 109.47
Positions (direct):
Eu 0.000 0.000 0.000
Eu 0.000 0.500 0.500
Eu 0.031 0.781 0.250
Eu 0.219 0.750 0.969
Eu 0.250 0.031 0.781
Eu 0.250 0.531 0.281
Eu 0.281 0.250 0.531
Eu 0.469 0.719 0.750
Eu 0.500 0.000 0.500
Eu 0.500 0.500 0.000
Eu 0.531 0.281 0.250
Eu 0.719 0.750 0.469
Eu 0.750 0.469 0.719
Eu 0.750 0.969 0.219
Eu 0.781 0.250 0.031
Eu 0.969 0.219 0.750
O 0.007 0.468 0.737
O 0.032 0.039 0.269
O 0.039 0.269 0.032
O 0.230 0.461 0.493
O 0.231 0.270 0.763
O 0.237 0.769 0.730
O 0.263 0.993 0.532
O 0.269 0.032 0.039
O 0.270 0.763 0.231
O 0.461 0.493 0.230
O 0.468 0.737 0.007
O 0.493 0.230 0.461
O 0.507 0.770 0.539
O 0.532 0.263 0.993
O 0.539 0.507 0.770
O 0.730 0.237 0.769
O 0.731 0.968 0.961
O 0.737 0.007 0.468
O 0.763 0.231 0.270
O 0.769 0.730 0.237
O 0.770 0.539 0.507
O 0.961 0.731 0.968
O 0.968 0.961 0.731
O 0.993 0.532 0.263

Computed XRD peak list
Compound: EuO3
Radiation: Cu Ka
Structure: the GGA-PBE geometry in the Materials Project
Lines closer than 0.1° are merged.

Principal peaks in the range 10° ≤ 2θ ≤ 90°, by intensity:
2θ/deg, intensity
14.37, 100
29.11, 66
25.03, 57
46.69, 49
38.76, 35
60.12, 19
38.65, 16
51.36, 15
44.08, 14
58.26, 12

Lattice parameters (Å, degrees): 7.117 7.117 3.537 90.00 90.00 120.00
Positions (direct):
Eu 0.333 0.667 0.250
Eu 0.667 0.333 0.750
O 0.034 0.550 0.750
O 0.450 0.484 0.750
O 0.484 0.034 0.250
O 0.516 0.966 0.750
O 0.550 0.516 0.250
O 0.966 0.450 0.250

Computed XRD peak list
Compound: Eu2O3
Radiation: Cu Ka
Structure: the GGA-PBE geometry in the Materials Project
Lines closer than 0.1° are merged.

Principal peaks in the range 10° ≤ 2θ ≤ 90°, by intensity:
2θ/deg, intensity
31.05, 100
47.95, 31
27.14, 28
29.85, 28
53.75, 27
57.52, 27
40.78, 26
58.23, 17
78.68, 15
74.87, 10

Lattice parameters (Å, degrees): 3.794 3.794 5.986 90.00 90.00 120.00
Positions (direct):
Eu 0.333 0.667 0.255
Eu 0.667 0.333 0.745
O 0.000 0.000 0.500
O 0.333 0.667 0.851
O 0.667 0.333 0.149

Computed XRD peak list
Compound: EuO3
Radiation: Cu Ka
Structure: the GGA-PBE geometry in the Materials Project
Lines closer than 0.1° are merged.

Principal peaks in the range 10° ≤ 2θ ≤ 90°, by intensity:
2θ/deg, intensity
28.57, 100
46.42, 60
20.44, 50
35.79, 42
59.97, 32
54.85, 25
40.13, 21
41.57, 14
45.44, 13
82.95, 12

Lattice parameters (Å, degrees): 5.017 5.017 4.495 90.00 90.00 120.00
Positions (direct):
Eu 0.333 0.667 0.250
Eu 0.667 0.333 0.750
O 0.186 0.373 0.750
O 0.186 0.814 0.750
O 0.373 0.186 0.250
O 0.627 0.814 0.750
O 0.814 0.186 0.250
O 0.814 0.627 0.250